Record 1
Simulated powder diffraction line list
Compound: Ga2NiCl8
Radiation: Cu Kα (weighted mean of Kα1 and Kα2)
Structure: a PBE-relaxed structure

Largest 10 diffraction maxima, sorted by position, 2θ from 10° to 90°:
h k l	d/Å	Position (°2θ)	intensity
1 1 0	6.893	12.84	71
2 0 0	6.731	13.15	100
1 1 1	4.766	18.62	37
3 1 -1	4.672	19.00	69
3 1 -3	3.506	25.41	32
2 2 -2	3.308	26.96	33
2 0 2	2.962	30.17	33
4 2 -2	2.946	30.34	67
6 2 -4	2.209	40.85	33
6 2 0	1.958	46.37	49

Cell and atoms:
```
data_Ga2NiCl8
_chemical_formula_sum 'Ga8 Ni4 Cl32'
_cell_length_a 17.525
_cell_length_b 8.025
_cell_length_c 11.698
_cell_angle_alpha 90.00
_cell_angle_beta 129.81
_cell_angle_gamma 90.00
_space_group_name_H-M_alt 'C 1 2/c 1'
_space_group_IT_number 15
_space_group_name_Hall '-C 2yc'
loop_
_atom_site_label
_atom_site_type_symbol
_atom_site_fract_x
_atom_site_fract_y
_atom_site_fract_z
Ga1 Ga 0.084 0.243 0.033
Ni1 Ni 0.000 0.003 0.750
Cl1 Cl 0.067 0.214 0.690
Cl2 Cl 0.081 0.223 0.220
Cl3 Cl 0.147 0.015 0.009
Cl4 Cl 0.158 0.470 0.058
```

Record 2
Simulated powder diffraction line list
Compound: RbGaCl4
Radiation: Cu Kα (weighted mean of Kα1 and Kα2)
Structure: a PBE-relaxed structure

Largest 10 diffraction maxima, sorted by position, 2θ from 10° to 90°:
h k l	d/Å	Position (°2θ)	intensity
0 0 2	4.794	18.51	36
2 1 0	4.497	19.74	71
2 1 1	4.072	21.83	94
1 1 2	3.779	23.54	100
0 2 0	3.640	24.46	54
2 1 2	3.280	27.19	46
1 2 2	2.810	31.85	56
4 0 1	2.741	32.68	68
3 1 3	2.322	38.78	32
1 3 2	2.128	42.48	37

Cell and atoms:
```
data_RbGaCl4
_chemical_formula_sum 'Rb4 Ga4 Cl16'
_cell_length_a 11.439
_cell_length_b 7.279
_cell_length_c 9.589
_cell_angle_alpha 90.00
_cell_angle_beta 90.00
_cell_angle_gamma 90.00
_space_group_name_H-M_alt 'P n m a'
_space_group_IT_number 62
_space_group_name_Hall '-P 2ac 2n'
loop_
_atom_site_label
_atom_site_type_symbol
_atom_site_fract_x
_atom_site_fract_y
_atom_site_fract_z
Rb1 Rb 0.182 0.250 0.173
Ga1 Ga 0.067 0.250 0.689
Cl1 Cl 0.079 0.005 0.824
Cl2 Cl 0.100 0.750 0.421
Cl3 Cl 0.218 0.250 0.546
```